1.
Sr7Ca2: computed X-ray diffraction stick pattern (λ = 1.5418 Å (Cu Kα)), based on DFT lattice parameters and positions (GGA-PBE).
Peak positions follow from Bragg's law for the DFT cell and can differ from measured ones.

Crystal structure
```
data_Sr7Ca2
_symmetry_space_group_name_H-M 'P -6 2 m'
_symmetry_Int_Tables_number 189
_symmetry_space_group_name_Hall 'P -6 -2'
_cell_length_a 11.5010
_cell_length_b 11.5010
_cell_length_c 4.1076
_cell_angle_alpha 90.00
_cell_angle_beta 90.00
_cell_angle_gamma 120.00
loop_
_atom_site_label
_atom_site_fract_x
_atom_site_fract_y
_atom_site_fract_z
Sr1 0.0000 0.0000 0.0000
Sr2 0.0000 0.3126 0.5000
Sr3 0.0000 0.6400 0.0000
Ca1 0.3333 0.6667 0.5000
```

Peak list (10 most intense, 15° ≤ 2θ ≤ 90°, sorted by position)
two_theta  d [Å]  I/Imax  (hkl)
26.67  3.342  91  1 1 1
26.85  3.320  100  3 0 0
28.16  3.169  20  2 0 1
32.25  2.775  13  2 1 1
38.21  2.356  31  2 2 1
45.42  1.997  17  3 2 1
47.32  1.921  28  4 1 1
47.43  1.917  17  3 3 0
52.38  1.747  30  3 0 2
66.75  1.401  12  3 3 2

2.
Tm6Cu5: computed X-ray diffraction stick pattern (λ = 1.5418 Å (Cu Kα)), based on DFT lattice parameters and positions (GGA-PBE).
Peak positions follow from Bragg's law for the DFT cell and can differ from measured ones.

Crystal structure
```
data_Tm6Cu5
_symmetry_space_group_name_H-M 'I m m m'
_symmetry_Int_Tables_number 71
_symmetry_space_group_name_Hall '-I 2 2'
_cell_length_a 4.815
_cell_length_b 6.799
_cell_length_c 14.426
_cell_angle_alpha 90.00
_cell_angle_beta 90.00
_cell_angle_gamma 90.00
loop_
_atom_site_label
_atom_site_fract_x
_atom_site_fract_y
_atom_site_fract_z
Tm1 0.000 0.249 0.000
Tm2 0.000 0.250 0.335
Cu1 0.000 0.000 0.169
Cu2 0.000 0.500 0.171
Cu3 0.000 0.500 0.500
```

Peak list (10 most intense, 15° ≤ 2θ ≤ 90°, sorted by position)
two_theta  d [Å]  I/Imax  (hkl)
26.20  3.401  30  1 0 3
37.39  2.405  100  2 0 0
46.23  1.964  9  0 2 6
53.91  1.701  17  0 4 0
60.90  1.521  12  1 0 9
67.44  1.389  35  3 2 3
79.73  1.203  9  4 0 0
79.77  1.202  2  0 0 12
85.60  1.135  1  4 2 0
85.69  1.134  6  0 2 12

3.
Pr2PaSe3: computed X-ray diffraction stick pattern (λ = 1.5418 Å (Cu Kα)), based on DFT lattice parameters and positions (GGA-PBE).
Peak positions follow from Bragg's law for the DFT cell and can differ from measured ones.

Crystal structure
```
data_Pr2PaSe3
_symmetry_space_group_name_H-M 'C 1 2/m 1'
_symmetry_Int_Tables_number 12
_cell_length_a 7.219
_cell_length_b 12.514
_cell_length_c 7.360
_cell_angle_alpha 90.00
_cell_angle_beta 109.13
_cell_angle_gamma 90.00
loop_
_symmetry_equiv_pos_as_xyz
'x,y,z'
'-x,-y,-z'
'-x,y,-z'
'x,-y,z'
'x+1/2,y+1/2,z'
'-x+1/2,-y+1/2,-z'
'-x+1/2,y+1/2,-z'
'x+1/2,-y+1/2,z'
loop_
_atom_site_label
_atom_site_fract_x
_atom_site_fract_y
_atom_site_fract_z
Pr1 0.000 0.000 0.000
Pr2 0.000 0.160 0.500
Pr3 0.000 0.500 0.500
Pa1 0.000 0.333 0.000
Se1 0.237 0.500 0.237
Se2 0.247 0.329 0.756
```

Peak list (10 most intense, 15° ≤ 2θ ≤ 90°, sorted by position)
two_theta  d [Å]  I/Imax  (hkl)
26.12  3.412  18  2 0 0
30.10  2.969  100  2 0 -2
42.78  2.114  38  2 0 2
43.40  2.085  37  3 3 -1
52.65  1.738  7  0 0 4
53.73  1.706  19  4 0 0
62.58  1.484  12  4 0 -4
70.54  1.335  17  3 3 -5
71.45  1.320  16  5 3 -3
79.22  1.209  12  4 6 -4

4.
Os2ICl8: computed X-ray diffraction stick pattern (λ = 1.5418 Å (Cu Kα)), based on DFT lattice parameters and positions (GGA-PBE).
Peak positions follow from Bragg's law for the DFT cell and can differ from measured ones.

Crystal structure
```
data_Os2ICl8
_symmetry_space_group_name_H-M 'P -1'
_symmetry_Int_Tables_number 2
_cell_length_a 6.705
_cell_length_b 7.303
_cell_length_c 8.333
_cell_angle_alpha 85.63
_cell_angle_beta 76.67
_cell_angle_gamma 70.95
loop_
_symmetry_equiv_pos_as_xyz
'x,y,z'
'-x,-y,-z'
loop_
_atom_site_label
_atom_site_fract_x
_atom_site_fract_y
_atom_site_fract_z
Os1 0.127 0.393 0.295
I1 0.000 0.500 0.000
Cl1 0.088 0.799 0.655
Cl2 0.188 0.342 0.565
Cl3 0.315 0.609 0.243
Cl4 0.425 0.142 0.194
```

Peak list (10 most intense, 15° ≤ 2θ ≤ 90°, sorted by position)
two_theta  d [Å]  I/Imax  (hkl)
15.91  5.571  100  1 1 0
16.01  5.535  41  1 0 1
16.87  5.256  47  0 1 1
21.92  4.054  16  0 0 2
25.23  3.530  18  1 2 0
26.12  3.412  35  -1 1 1
32.12  2.786  34  2 2 0
33.15  2.702  53  1 0 3
36.35  2.471  24  -1 2 1
40.75  2.214  24  2 3 0

5.
PmSi4Tc4: computed X-ray diffraction stick pattern (λ = 1.5418 Å (Cu Kα)), based on DFT lattice parameters and positions (GGA-PBE).
Peak positions follow from Bragg's law for the DFT cell and can differ from measured ones.

Crystal structure
```
data_PmSi4Tc4
_symmetry_space_group_name_H-M 'P 42/n'
_symmetry_Int_Tables_number 86
_cell_length_a 8.105
_cell_length_b 8.105
_cell_length_c 4.678
_cell_angle_alpha 90.00
_cell_angle_beta 90.00
_cell_angle_gamma 90.00
loop_
_symmetry_equiv_pos_as_xyz
'x,y,z'
'-x,-y,-z'
'-y,x+1/2,z+1/2'
'y,-x+1/2,-z+1/2'
'-x+1/2,-y+1/2,z'
'x+1/2,y+1/2,-z'
'y+1/2,-x,z+1/2'
'-y+1/2,x,-z+1/2'
loop_
_atom_site_label
_atom_site_fract_x
_atom_site_fract_y
_atom_site_fract_z
Pm1 0.250 0.250 0.250
Si1 0.057 0.909 0.166
Tc1 0.124 0.873 0.660
```

Peak list (10 most intense, 15° ≤ 2θ ≤ 90°, sorted by position)
two_theta  d [Å]  I/Imax  (hkl)
21.94  4.051  45  1 0 1
31.22  2.865  100  2 1 1
35.01  2.563  94  3 1 0
38.49  2.339  28  0 0 2
40.13  2.247  49  1 0 2
44.73  2.026  67  2 3 1
51.69  1.768  26  3 0 2
53.00  1.728  24  3 1 2
65.11  1.433  34  4 4 0
70.72  1.332  23  3 4 2

6.
CeHo6Tm2: computed X-ray diffraction stick pattern (λ = 1.5418 Å (Cu Kα)), based on DFT lattice parameters and positions (GGA-PBE).
Peak positions follow from Bragg's law for the DFT cell and can differ from measured ones.

Crystal structure
```
data_CeHo6Tm2
_symmetry_space_group_name_H-M 'R 3 m'
_symmetry_Int_Tables_number 160
_symmetry_space_group_name_Hall 'R 3 -2"'
_cell_length_a 7.2091
_cell_length_b 7.2091
_cell_length_c 18.7895
_cell_angle_alpha 90.00
_cell_angle_beta 90.00
_cell_angle_gamma 120.00
loop_
_atom_site_label
_atom_site_fract_x
_atom_site_fract_y
_atom_site_fract_z
Ce1 0.0000 0.0000 0.0000
Ho1 0.1721 0.3443 0.8858
Ho2 0.1849 0.3698 0.0804
Tm1 0.0000 0.0000 0.5617
Tm2 0.0000 0.0000 0.7395
```

Peak list (10 most intense, 15° ≤ 2θ ≤ 90°, sorted by position)
two_theta  d [Å]  I/Imax  (hkl)
28.51  3.130  48  0 0 6
29.00  3.079  100  0 2 1
30.17  2.962  19  2 0 2
34.50  2.600  72  0 2 4
37.45  2.401  84  2 0 5
44.52  2.035  19  0 2 7
50.65  1.802  43  2 2 0
57.23  1.610  17  0 2 10
59.15  1.562  28  2 2 6
61.92  1.498  20  2 0 11

7.
PrErCu2Si2: computed X-ray diffraction stick pattern (λ = 1.5418 Å (Cu Kα)), based on DFT lattice parameters and positions (GGA-PBE).
Peak positions follow from Bragg's law for the DFT cell and can differ from measured ones.

Crystal structure
```
data_PrErCu2Si2
_symmetry_space_group_name_H-M 'P -3 m 1'
_symmetry_Int_Tables_number 164
_symmetry_space_group_name_Hall '-P 3 2"'
_cell_length_a 4.1920
_cell_length_b 4.1920
_cell_length_c 7.6315
_cell_angle_alpha 90.00
_cell_angle_beta 90.00
_cell_angle_gamma 120.00
loop_
_atom_site_label
_atom_site_fract_x
_atom_site_fract_y
_atom_site_fract_z
Pr1 0.0000 0.0000 0.0000
Er1 0.0000 0.0000 0.5000
Cu1 0.3333 0.6667 0.7262
Si1 0.3333 0.6667 0.2653
```

Peak list (10 most intense, 15° ≤ 2θ ≤ 90°, sorted by position)
two_theta  d [Å]  I/Imax  (hkl)
24.52  3.630  31  1 0 0
34.09  2.630  100  0 1 2
43.16  2.096  40  1 1 0
47.67  1.908  9  0 0 4
54.32  1.689  9  1 0 4
56.11  1.639  24  2 0 2
66.24  1.411  20  1 1 4
73.32  1.291  21  1 2 2
79.15  1.210  7  3 0 0
79.92  1.200  7  0 1 6

8.
SiHS: computed X-ray diffraction stick pattern (λ = 1.5418 Å (Cu Kα)), based on DFT lattice parameters and positions (GGA-PBE).
Peak positions follow from Bragg's law for the DFT cell and can differ from measured ones.

Crystal structure
```
data_SiHS
_symmetry_space_group_name_H-M 'P 1 21/m 1'
_symmetry_Int_Tables_number 11
_cell_length_a 3.747
_cell_length_b 3.199
_cell_length_c 8.022
_cell_angle_alpha 90.00
_cell_angle_beta 95.83
_cell_angle_gamma 90.00
loop_
_symmetry_equiv_pos_as_xyz
'x,y,z'
'-x,-y,-z'
'-x,y+1/2,-z'
'x,-y+1/2,z'
loop_
_atom_site_label
_atom_site_fract_x
_atom_site_fract_y
_atom_site_fract_z
Si1 0.236 0.250 0.443
H1 0.121 0.250 0.841
S1 0.232 0.750 0.221
```

Peak list (10 most intense, 15° ≤ 2θ ≤ 90°, sorted by position)
two_theta  d [Å]  I/Imax  (hkl)
25.32  3.517  100  1 0 -1
27.42  3.253  88  1 0 1
30.09  2.970  43  0 1 1
35.98  2.496  45  0 1 2
38.02  2.367  31  1 1 -1
39.51  2.281  43  1 1 1
42.28  2.138  82  1 1 -2
44.28  2.045  65  0 1 3
44.97  2.016  51  1 1 2
48.87  1.864  31  2 0 0

9.
In5Sn6: computed X-ray diffraction stick pattern (λ = 1.5418 Å (Cu Kα)), based on DFT lattice parameters and positions (GGA-PBE).
Peak positions follow from Bragg's law for the DFT cell and can differ from measured ones.

Crystal structure
```
data_In5Sn6
_symmetry_space_group_name_H-M 'C 1 2/m 1'
_symmetry_Int_Tables_number 12
_cell_length_a 6.653
_cell_length_b 12.216
_cell_length_c 8.103
_cell_angle_alpha 90.00
_cell_angle_beta 107.52
_cell_angle_gamma 90.00
loop_
_symmetry_equiv_pos_as_xyz
'x,y,z'
'-x,-y,-z'
'-x,y,-z'
'x,-y,z'
'x+1/2,y+1/2,z'
'-x+1/2,-y+1/2,-z'
'-x+1/2,y+1/2,-z'
'x+1/2,-y+1/2,z'
loop_
_atom_site_label
_atom_site_fract_x
_atom_site_fract_y
_atom_site_fract_z
In1 0.000 0.000 0.000
In2 0.000 0.137 0.500
In3 0.000 0.268 0.000
Sn1 0.162 0.366 0.692
Sn2 0.174 0.500 0.206
```

Peak list (10 most intense, 15° ≤ 2θ ≤ 90°, sorted by position)
two_theta  d [Å]  I/Imax  (hkl)
30.20  2.959  72  1 3 1
30.61  2.920  84  2 0 -2
31.38  2.850  58  1 1 2
31.50  2.840  61  0 4 1
40.22  2.242  100  2 4 -1
43.43  2.084  27  3 1 0
60.81  1.523  22  2 4 3
61.88  1.499  20  1 7 2
66.67  1.403  17  4 4 -3
67.98  1.379  17  0 4 5

10.
CuH2C2O4: computed X-ray diffraction stick pattern (λ = 1.5418 Å (Cu Kα)), based on DFT lattice parameters and positions (GGA-PBE).
Peak positions follow from Bragg's law for the DFT cell and can differ from measured ones.

Crystal structure
```
data_CuH2C2O4
_symmetry_space_group_name_H-M 'P 1 21/c 1'
_symmetry_Int_Tables_number 14
_cell_length_a 3.928
_cell_length_b 7.999
_cell_length_c 7.855
_cell_angle_alpha 90.00
_cell_angle_beta 117.05
_cell_angle_gamma 90.00
loop_
_symmetry_equiv_pos_as_xyz
'x,y,z'
'-x,-y,-z'
'-x,y+1/2,-z+1/2'
'x,-y+1/2,z+1/2'
loop_
_atom_site_label
_atom_site_fract_x
_atom_site_fract_y
_atom_site_fract_z
Cu1 0.000 0.000 0.000
H1 0.311 0.186 0.711
C1 0.442 0.731 0.247
O1 0.113 0.720 0.626
O2 0.490 0.586 0.322
```

Peak list (10 most intense, 15° ≤ 2θ ≤ 90°, sorted by position)
two_theta  d [Å]  I/Imax  (hkl)
16.84  5.266  100  0 1 1
25.29  3.522  17  1 1 -1
26.61  3.350  41  1 0 -2
28.90  3.090  8  1 1 -2
34.05  2.633  21  0 2 2
35.33  2.540  8  1 1 1
37.04  2.427  17  1 1 -3
48.93  1.861  6  2 1 -1
51.93  1.761  10  1 2 -4
52.73  1.736  7  1 4 0

11.
Tb2Er8In3: computed X-ray diffraction stick pattern (λ = 1.5418 Å (Cu Kα)), based on DFT lattice parameters and positions (GGA-PBE).
Peak positions follow from Bragg's law for the DFT cell and can differ from measured ones.

Crystal structure
```
data_Tb2Er8In3
_symmetry_space_group_name_H-M 'R -3 m'
_symmetry_Int_Tables_number 166
_symmetry_space_group_name_Hall '-R 3 2"'
_cell_length_a 6.3508
_cell_length_b 6.3508
_cell_length_c 34.7548
_cell_angle_alpha 90.00
_cell_angle_beta 90.00
_cell_angle_gamma 120.00
loop_
_atom_site_label
_atom_site_fract_x
_atom_site_fract_y
_atom_site_fract_z
Tb1 0.0000 0.0000 0.1369
Er1 0.0000 0.0000 0.2269
Er2 0.0010 0.5005 0.7201
In1 0.0000 0.0000 0.3123
In2 0.0000 0.0000 0.5000
```

Peak list (10 most intense, 15° ≤ 2θ ≤ 90°, sorted by position)
two_theta  d [Å]  I/Imax  (hkl)
28.10  3.175  38  1 1 0
29.16  3.062  36  1 1 3
32.69  2.740  94  0 1 11
32.98  2.716  100  2 0 2
34.20  2.622  34  0 2 4
35.09  2.557  52  2 0 5
36.64  2.453  36  1 1 9
37.39  2.405  55  0 2 7
52.71  1.737  48  1 2 11
58.10  1.588  44  2 2 0

12.
Li3NpC4O12: computed X-ray diffraction stick pattern (λ = 1.5418 Å (Cu Kα)), based on DFT lattice parameters and positions (GGA-PBE).
Peak positions follow from Bragg's law for the DFT cell and can differ from measured ones.

Crystal structure
```
data_Li3NpC4O12
_symmetry_space_group_name_H-M 'R 3 2'
_symmetry_Int_Tables_number 155
_symmetry_space_group_name_Hall 'R 3 2"'
_cell_length_a 9.6026
_cell_length_b 9.6026
_cell_length_c 8.0383
_cell_angle_alpha 90.00
_cell_angle_beta 90.00
_cell_angle_gamma 120.00
loop_
_atom_site_label
_atom_site_fract_x
_atom_site_fract_y
_atom_site_fract_z
Li1 0.0000 0.5477 0.0000
Np1 0.0000 0.0000 0.0000
C1 0.0000 0.0000 0.5000
C2 0.0000 0.4635 0.5000
O1 0.0000 0.5953 0.5000
O2 0.0000 0.8666 0.5000
O3 0.0061 0.2024 0.1657
```

Peak list (10 most intense, 15° ≤ 2θ ≤ 90°, sorted by position)
two_theta  d [Å]  I/Imax  (hkl)
15.33  5.780  100  1 0 1
18.48  4.801  62  1 1 0
24.10  3.693  15  0 2 1
24.60  3.619  36  0 1 2
30.54  2.927  36  2 1 1
30.94  2.890  44  2 0 2
32.29  2.772  18  3 0 0
36.28  2.476  31  1 2 2
38.48  2.340  24  1 1 3
40.70  2.217  27  1 3 1